This entry pairs a crystal structure of Zr5P7Pd9 with its theoretical PXRD pattern. Radiation: λ = 1.5418 Å (Cu Kα). Structure: a cell relaxed with GGA-PBE.

Largest 10 diffraction maxima, in order of rising 2θ, 2θ = 10–80°:
2θ (°)  d [Å]  I_rel  (hkl)
28.7  3.113  17  1 3 1
35.9  2.502  100  1 7 1
36.0  2.494  42  1 0 2
38.6  2.335  54  1 4 2
39.8  2.267  25  0 11 1
41.2  2.190  19  1 10 0
42.7  2.115  21  0 3 3
43.9  2.062  17  0 10 2
47.1  1.931  32  2 0 0
65.5  1.426  17  2 3 3

Cell and atoms:
```
data_Zr5P7Pd9
_chemical_formula_sum 'Zr10 P14 Pd18'
_space_group_name_H-M_alt 'A m m 2'
_space_group_IT_number 38
_space_group_name_Hall 'A 2 -2'
_cell_length_a 3.862
_cell_length_b 26.591
_cell_length_c 6.535
_cell_angle_alpha 90.00
_cell_angle_beta 90.00
_cell_angle_gamma 90.00
loop_
_atom_site_label
_atom_site_fract_x
_atom_site_fract_y
_atom_site_fract_z
Zr1 0.000 0.000 0.000
Zr2 0.000 0.089 0.385
Zr3 0.500 0.228 0.800
P1 0.000 0.000 0.599
P2 0.000 0.214 0.086
P3 0.500 0.068 0.099
P4 0.500 0.144 0.593
Pd1 0.000 0.138 0.843
Pd2 0.000 0.197 0.470
Pd3 0.500 0.000 0.354
Pd4 0.500 0.058 0.732
Pd5 0.500 0.159 0.184
```

=====

This entry pairs a crystal structure of Dy2Bi2O7 with its theoretical PXRD pattern. Radiation: λ = 1.5418 Å (Cu Kα). Structure: a cell relaxed with GGA-PBE.

Largest 10 diffraction maxima, in order of rising 2θ, 2θ = 10–80°:
2θ (°)  d [Å]  I_rel  (hkl)
14.0  6.306  2  1 1 1
27.1  3.293  2  3 1 1
28.3  3.153  100  2 2 2
32.8  2.731  37  4 0 0
47.1  1.931  49  4 4 0
55.8  1.647  46  6 2 2
58.6  1.576  11  4 4 4
68.8  1.365  8  8 0 0
76.0  1.253  19  6 6 2
78.3  1.221  15  8 4 0

Cell and atoms:
Cell lengths 10.922, 10.922, 10.922 Å; angles 90.00, 90.00, 90.00 degrees
Space group Fd-3m (No. 227, origin choice 2)
Inequivalent atoms, fractional coordinates:
Dy: 0.000 0.000 0.000 [16 per cell]
Bi: 0.000 0.000 0.500 [16 per cell]
O: 0.103 0.375 0.875 [48 per cell]
O: 0.125 0.125 0.125 [8 per cell]

=====

This entry pairs a crystal structure of KTm2Cl7 with its theoretical PXRD pattern. Radiation: λ = 1.5418 Å (Cu Kα). Structure: a cell relaxed with GGA-PBE.

Largest 10 diffraction maxima, in order of rising 2θ, 2θ = 10–80°:
2θ (°)  d [Å]  I_rel  (hkl)
13.4  6.595  100  0 0 2
14.7  6.016  44  1 1 0
19.8  4.475  32  1 1 -2
20.1  4.414  31  1 1 2
25.9  3.445  26  1 3 -1
26.0  3.431  34  1 3 1
32.2  2.778  21  1 3 -3
32.5  2.755  24  1 3 3
35.2  2.547  26  0 4 3
39.5  2.280  19  2 4 -1

Cell and atoms:
```
data_KTm2Cl7
_chemical_formula_sum 'K4 Tm8 Cl28'
_space_group_name_H-M_alt 'P 1 21/c 1'
_space_group_IT_number 14
_space_group_name_Hall '-P 2ybc'
_cell_length_a 6.864
_cell_length_b 12.499
_cell_length_c 13.191
_cell_angle_alpha 90.00
_cell_angle_beta 90.90
_cell_angle_gamma 90.00
loop_
_atom_site_label
_atom_site_fract_x
_atom_site_fract_y
_atom_site_fract_z
K1 0.234 0.201 0.462
Tm1 0.226 0.661 0.751
Tm2 0.279 0.538 0.262
Cl1 0.017 0.678 0.326
Cl2 0.036 0.059 0.632
Cl3 0.044 0.086 0.877
Cl4 0.243 0.685 0.108
Cl5 0.444 0.527 0.865
Cl6 0.474 0.574 0.621
Cl7 0.497 0.703 0.324
```